Ce5CoBi2O: simulated PXRD pattern (copper Kα), based on a DFT-relaxed cell (GGA+U, Alexandria).
Lines closer than 0.1° are merged.

Most intense lines, 2θ = 15–90°, low angle first:
- hkl 1 1 0, 2θ 27.14, I = 63
- hkl 1 1 1, 2θ 28.25, I = 56
- hkl 1 0 3, 2θ 30.26, I = 69
- hkl 0 0 4, 2θ 31.17, I = 46
- hkl 1 1 2, 2θ 31.37, I = 100
- hkl 1 1 3, 2θ 36.03, I = 42
- hkl 2 0 0, 2θ 38.76, I = 87
- hkl 1 0 5, 2θ 44.00, I = 26
- hkl 2 1 3, 2θ 49.94, I = 35
- hkl 2 0 4, 2θ 50.55, I = 47
- hkl 2 2 0, 2θ 55.97, I = 30
- hkl 3 1 2, 2θ 65.58, I = 25

Atomic structure:
a = 4.647 Å, b = 4.647 Å, c = 11.477 Å
α = 90.00°, β = 90.00°, γ = 90.00°
Fractional coordinates of all 9 atoms:
Ce 0.000 0.000 0.000
Ce 0.000 0.500 0.500
Ce 0.500 0.000 0.500
Ce 0.500 0.500 0.210
Ce 0.500 0.500 0.790
Co 0.500 0.500 0.000
Bi 0.000 0.000 0.285
Bi 0.000 0.000 0.715
O 0.500 0.500 0.500